1.
For CsDyAuS2, a DFT-relaxed cell (PBE, Alexandria) gives the computed powder X-ray diffraction pattern in this record (λ = 1.5418 Å (Cu Kα)).
Lines closer than 0.1° are merged.

Top 6 peaks for 2θ = 15–90°, most intense first:
22.54 deg, rel. 100; 29.92 deg, rel. 94; 32.87 deg, rel. 87; 42.20 deg, rel. 49; 37.15 deg, rel. 48; 34.63 deg, rel. 36

Crystal structure
a = 8.006 Å, b = 5.085 Å, c = 7.744 Å
α = 90.00°, β = 99.78°, γ = 90.00°
Space group P2/c (No. 13)
Unique sites:
Cs (0.000, 0.149, 0.250) (multiplicity 2)
Dy (0.500, 0.495, 0.750) (multiplicity 2)
Au (0.500, 0.000, 0.000) (multiplicity 2)
S (0.281, 0.351, 0.963) (multiplicity 4)

=====

2.
For Cs2AuF7, a DFT-relaxed cell (PBE, Alexandria) gives the computed powder X-ray diffraction pattern in this record (λ = 1.5418 Å (Cu Kα)).
Lines closer than 0.1° are merged.

Top 6 peaks for 2θ = 15–90°, most intense first:
22.10 deg, rel. 100; 27.62 deg, rel. 83; 23.33 deg, rel. 61; 27.86 deg, rel. 48; 22.22 deg, rel. 35; 42.40 deg, rel. 32

Crystal structure
a = 15.254 Å, b = 7.125 Å, c = 10.756 Å
α = 90.00°, β = 134.44°, γ = 90.00°
Space group C2/c (No. 15)
Unique sites:
Cs (0.159, 0.151, 0.072) (multiplicity 8)
Au (0.000, 0.314, 0.250) (multiplicity 4)
F (0.000, 0.403, 0.750) (multiplicity 4)
F (0.071, 0.026, 0.231) (multiplicity 8)
F (0.083, 0.318, 0.494) (multiplicity 8)
F (0.161, 0.344, 0.330) (multiplicity 8)

=====

3.
For Cs3AuF6, a DFT-relaxed cell (PBE, Alexandria) gives the computed powder X-ray diffraction pattern in this record (λ = 1.5418 Å (Cu Kα)).
Lines closer than 0.1° are merged.

Top 6 peaks for 2θ = 15–90°, most intense first:
24.87 deg, rel. 100; 27.93 deg, rel. 53; 47.59 deg, rel. 42; 41.79 deg, rel. 35; 30.45 deg, rel. 28; 39.91 deg, rel. 18

Crystal structure
a = 6.390 Å, b = 6.390 Å, c = 13.367 Å
α = 90.00°, β = 118.55°, γ = 90.00°
Space group P2_1/c (No. 14)
Unique sites:
Cs (0.000, 0.000, 0.000) (multiplicity 2)
Cs (0.250, 0.000, 0.750) (multiplicity 4)
Au (0.500, 0.000, 0.500) (multiplicity 2)
F (0.200, 0.071, 0.500) (multiplicity 4)
F (0.246, 0.001, 0.245) (multiplicity 4)
F (0.429, 0.700, 0.500) (multiplicity 4)

=====

4.
For Cs8Au3F, a DFT-relaxed cell (PBE, Alexandria) gives the computed powder X-ray diffraction pattern in this record (λ = 1.5418 Å (Cu Kα)).
Lines closer than 0.1° are merged.

Top 6 peaks for 2θ = 15–90°, most intense first:
22.63 deg, rel. 100; 26.14 deg, rel. 73; 33.92 deg, rel. 58; 35.24 deg, rel. 44; 49.70 deg, rel. 21; 20.25 deg, rel. 19

Crystal structure
a = 10.5725 Å, b = 10.5725 Å, c = 15.3187 Å
α = 90.00°, β = 90.00°, γ = 120.00°
Space group P6_3mc (No. 186)
Unique sites:
Cs (0.0000, 0.0000, 0.0000) (multiplicity 2)
Cs (0.0540, 0.5270, 0.0259) (multiplicity 6)
Cs (0.1824, 0.3648, 0.2673) (multiplicity 6)
Cs (0.3333, 0.6667, 0.7527) (multiplicity 2)
Au (0.1698, 0.3396, 0.8782) (multiplicity 6)
F (0.3333, 0.6667, 0.1387) (multiplicity 2)

=====

5.
For Cs6AuF, a DFT-relaxed cell (PBE, Alexandria) gives the computed powder X-ray diffraction pattern in this record (λ = 1.5418 Å (Cu Kα)).
Lines closer than 0.1° are merged.

Top 6 peaks for 2θ = 15–90°, most intense first:
24.48 deg, rel. 100; 25.30 deg, rel. 53; 21.24 deg, rel. 43; 35.75 deg, rel. 40; 21.76 deg, rel. 36; 35.24 deg, rel. 33

Crystal structure
a = 8.767 Å, b = 15.599 Å, c = 8.606 Å
α = 90.00°, β = 108.28°, γ = 90.00°
Space group C2/m (No. 12)
Unique sites:
Cs (0.212, 0.143, 0.236) (multiplicity 8)
Cs (0.247, 0.000, 0.777) (multiplicity 4)
Au (0.000, 0.500, 0.500) (multiplicity 2)
F (0.000, 0.000, 0.000) (multiplicity 2)

=====

6.
For Cs2AuF5, a DFT-relaxed cell (PBE, Alexandria) gives the computed powder X-ray diffraction pattern in this record (λ = 1.5418 Å (Cu Kα)).
Lines closer than 0.1° are merged.

Top 6 peaks for 2θ = 15–90°, most intense first:
26.90 deg, rel. 100; 50.07 deg, rel. 36; 28.95 deg, rel. 34; 22.62 deg, rel. 28; 41.41 deg, rel. 25; 55.44 deg, rel. 20

Crystal structure
a = 6.168 Å, b = 6.168 Å, c = 5.101 Å
α = 90.00°, β = 90.00°, γ = 90.00°
Space group P4/mmm (No. 123)
Unique sites:
Cs (0.000, 0.500, 0.000) (multiplicity 2)
Au (0.000, 0.000, 0.500) (multiplicity 1)
F (0.000, 0.000, 0.000) (multiplicity 1)
F (0.229, 0.229, 0.500) (multiplicity 4)

=====

7.
For Cs2AuF, a DFT-relaxed cell (PBE, Alexandria) gives the computed powder X-ray diffraction pattern in this record (λ = 1.5418 Å (Cu Kα)).
Lines closer than 0.1° are merged.

Top 6 peaks for 2θ = 15–90°, most intense first:
27.99 deg, rel. 100; 27.22 deg, rel. 73; 24.98 deg, rel. 70; 27.65 deg, rel. 57; 23.87 deg, rel. 46; 20.38 deg, rel. 39

Crystal structure
a = 8.309 Å, b = 4.969 Å, c = 15.354 Å
α = 90.00°, β = 90.00°, γ = 90.00°
Space group Pnma (No. 62)
Unique sites:
Cs (0.144, 0.250, 0.246) (multiplicity 4)
Cs (0.195, 0.250, 0.525) (multiplicity 4)
Au (0.108, 0.250, 0.865) (multiplicity 4)
F (0.081, 0.750, 0.608) (multiplicity 4)

=====

8.
For CsAu2F8, a DFT-relaxed cell (PBE, Alexandria) gives the computed powder X-ray diffraction pattern in this record (λ = 1.5418 Å (Cu Kα)).
Lines closer than 0.1° are merged.

Top 6 peaks for 2θ = 15–90°, most intense first:
21.37 deg, rel. 100; 28.92 deg, rel. 67; 39.96 deg, rel. 45; 36.24 deg, rel. 41; 47.01 deg, rel. 23; 44.47 deg, rel. 21

Crystal structure
a = 6.1747 Å, b = 6.1747 Å, c = 6.6098 Å
α = 90.00°, β = 90.00°, γ = 120.00°
Space group P-3m1 (No. 164)
Unique sites:
Cs (0.0000, 0.0000, 0.0000) (multiplicity 1)
Au (0.3333, 0.6667, 0.4595) (multiplicity 2)
F (0.1853, 0.3706, 0.6595) (multiplicity 6)
F (0.3333, 0.6667, 0.1607) (multiplicity 2)

=====

9.
For Cs3Au2F9, a DFT-relaxed cell (PBE, Alexandria) gives the computed powder X-ray diffraction pattern in this record (λ = 1.5418 Å (Cu Kα)).
Lines closer than 0.1° are merged.

Top 6 peaks for 2θ = 15–90°, most intense first:
27.24 deg, rel. 100; 27.78 deg, rel. 81; 39.30 deg, rel. 56; 48.81 deg, rel. 42; 15.94 deg, rel. 24; 19.36 deg, rel. 19

Crystal structure
a = 6.4219 Å, b = 6.4219 Å, c = 8.1010 Å
α = 90.00°, β = 90.00°, γ = 120.00°
Space group P-3m1 (No. 164)
Unique sites:
Cs (0.0000, 0.0000, 0.0000) (multiplicity 1)
Cs (0.3333, 0.6667, 0.3677) (multiplicity 2)
Au (0.3333, 0.6667, 0.8537) (multiplicity 2)
F (0.0000, 0.5000, 0.0000) (multiplicity 3)
F (0.1787, 0.3574, 0.7052) (multiplicity 6)